No. 1
Structure and theoretical powder diffractogram of Te16Rh9 (the PBE geometry in the Materials Project; Cu Kα X-rays).
Peak positions follow from Bragg's law for the DFT cell and can differ from measured ones.

Most intense lines, 2θ from 10° to 80°, low angle first:
2θ 16.06, rel. 23
2θ 30.35, rel. 49
2θ 30.51, rel. 100
2θ 41.72, rel. 23
2θ 41.96, rel. 23
2θ 45.38, rel. 41

a = 8.0195 Å, b = 8.8347 Å, c = 8.8636 Å
α = 102.82°, β = 90.17°, γ = 90.24°
Element x y z (fractional)
1 Te 0.9997 0.0469 0.2083
2 Te 0.0003 0.9531 0.7917
3 Te 0.0017 0.5402 0.7013
4 Te 0.2460 0.2089 0.5427
5 Te 0.2484 0.2832 0.9525
6 Te 0.2555 0.7144 0.0481
7 Te 0.2604 0.7913 0.4572
8 Te 0.4978 0.4563 0.2918
9 Te 0.4977 0.9627 0.7961
10 Te 0.5023 0.0373 0.2039
11 Te 0.5022 0.5437 0.7082
12 Te 0.7396 0.2087 0.5428
13 Te 0.7445 0.2856 0.9519
14 Te 0.7516 0.7168 0.0475
15 Te 0.7540 0.7911 0.4573
16 Te 0.9983 0.4598 0.2987
17 Rh 0.0000 0.5000 0.0000
18 Rh 0.0066 0.7578 0.2566
19 Rh 0.2434 0.9983 0.0016
20 Rh 0.2545 0.4997 0.5004
21 Rh 0.4926 0.2558 0.7490
22 Rh 0.5074 0.7442 0.2510
23 Rh 0.7455 0.5003 0.4996
24 Rh 0.7566 0.0017 0.9984
25 Rh 0.9934 0.2422 0.7434

***

No. 2
Structure and theoretical powder diffractogram of RbCaI3 (the PBE geometry in the Materials Project; Cu Kα X-rays).
Peak positions follow from Bragg's law for the DFT cell and can differ from measured ones.

Most intense lines, 2θ from 10° to 80°, low angle first:
2θ 24.84, rel. 100
2θ 28.76, rel. 75
2θ 41.12, rel. 55
2θ 48.63, rel. 47
2θ 50.95, rel. 19
2θ 67.45, rel. 25

a = 8.7866 Å, b = 8.7783 Å, c = 6.2077 Å
α = 90.00°, β = 90.06°, γ = 90.00°
Element x y z (fractional)
1 Rb 0.0000 0.0000 0.0000
2 Rb 0.5000 0.5000 0.0000
3 Ca 0.0055 0.5000 0.4819
4 Ca 0.5055 0.0000 0.4819
5 I 0.2520 0.2513 0.4865
6 I 0.2520 0.7487 0.4865
7 I 0.4907 0.0000 0.9830
8 I 0.7520 0.2487 0.4865
9 I 0.7520 0.7513 0.4865
10 I 0.9907 0.5000 0.9830

***

No. 3
Structure and theoretical powder diffractogram of TmZnPd (the PBE geometry in the Materials Project; Cu Kα X-rays).
Peak positions follow from Bragg's law for the DFT cell and can differ from measured ones.

Most intense lines, 2θ from 10° to 80°, low angle first:
2θ 34.19, rel. 100
2θ 37.13, rel. 90
2θ 37.72, rel. 37
2θ 43.00, rel. 36
2θ 48.17, rel. 23
2θ 69.54, rel. 28

a = 7.2862 Å, b = 7.2862 Å, c = 3.7780 Å
α = 90.00°, β = 90.00°, γ = 120.00°
Element x y z (fractional)
1 Tm 0.0000 0.4060 0.0000
2 Tm 0.4060 0.0000 0.0000
3 Tm 0.5940 0.5940 0.0000
4 Zn 0.0000 0.7453 0.5000
5 Zn 0.2547 0.2547 0.5000
6 Zn 0.7453 0.0000 0.5000
7 Pd 0.0000 0.0000 0.0000
8 Pd 0.3333 0.6667 0.5000
9 Pd 0.6667 0.3333 0.5000

***

No. 4
Structure and theoretical powder diffractogram of Na5Y4Si4O16F (the PBE geometry in the Materials Project; Cu Kα X-rays).
Peak positions follow from Bragg's law for the DFT cell and can differ from measured ones.

Most intense lines, 2θ from 10° to 80°, low angle first:
2θ 10.70, rel. 57
2θ 17.94, rel. 76
2θ 23.56, rel. 58
2θ 32.10, rel. 100
2θ 32.83, rel. 69
2θ 35.68, rel. 78

a = 8.7073 Å, b = 8.7073 Å, c = 8.7073 Å
α = 95.63°, β = 95.63°, γ = 143.48°
Element x y z (fractional)
1 Na 0.0000 0.0000 0.0000
2 Na 0.0954 0.4010 0.5155
3 Na 0.4201 0.9046 0.3057
4 Na 0.5990 0.1144 0.6943
5 Na 0.8856 0.5799 0.4845
6 Y 0.2938 0.5922 0.9334
7 Y 0.4078 0.3412 0.7016
8 Y 0.6396 0.7062 0.2984
9 Y 0.6588 0.3604 0.0666
10 Si 0.1143 0.7637 0.8563
11 Si 0.2363 0.0926 0.3507
12 Si 0.7420 0.8857 0.6493
13 Si 0.9074 0.2580 0.1437
14 O 0.0471 0.1854 0.7645
15 O 0.0929 0.5962 0.7221
16 O 0.1375 0.1694 0.4394
17 O 0.2241 0.4641 0.1730
18 O 0.2911 0.0511 0.8270
19 O 0.3019 0.8625 0.0319
20 O 0.4038 0.1259 0.4966
21 O 0.4209 0.2826 0.2355
22 O 0.5359 0.7089 0.7600
23 O 0.6293 0.9071 0.5034
24 O 0.7174 0.9529 0.1383
25 O 0.7300 0.6981 0.5606
26 O 0.8146 0.5791 0.8617
27 O 0.8306 0.2700 0.9681
28 O 0.8741 0.3707 0.2779
29 O 0.9489 0.7759 0.2400
30 F 0.5000 0.5000 0.0000

***

No. 5
Structure and theoretical powder diffractogram of Nd3GaCoS7 (the PBE geometry in the Materials Project; Cu Kα X-rays).
Peak positions follow from Bragg's law for the DFT cell and can differ from measured ones.

Most intense lines, 2θ from 10° to 80°, low angle first:
2θ 17.81, rel. 21
2θ 25.34, rel. 100
2θ 34.59, rel. 29
2θ 36.07, rel. 36
2θ 36.22, rel. 38
2θ 40.64, rel. 21

a = 9.9208 Å, b = 9.9208 Å, c = 6.1124 Å
α = 90.00°, β = 90.00°, γ = 120.00°
Element x y z (fractional)
1 Nd 0.1500 0.7776 0.0000
2 Nd 0.2224 0.3724 0.0000
3 Nd 0.3724 0.1500 0.5000
4 Nd 0.6276 0.8500 0.0000
5 Nd 0.7776 0.6276 0.5000
6 Nd 0.8500 0.2224 0.5000
7 Ga 0.3333 0.6667 0.4239
8 Ga 0.6667 0.3333 0.9239
9 Co 0.0000 0.0000 0.3104
10 Co 0.0000 0.0000 0.8104
11 S 0.0905 0.5188 0.2749
12 S 0.0895 0.8707 0.5679
13 S 0.1293 0.2188 0.5679
14 S 0.2188 0.0895 0.0679
15 S 0.3333 0.6667 0.7921
16 S 0.4284 0.9095 0.2749
17 S 0.4812 0.5716 0.2749
18 S 0.5188 0.4284 0.7749
19 S 0.5716 0.0905 0.7749
20 S 0.6667 0.3333 0.2921
21 S 0.7812 0.9105 0.5679
22 S 0.8707 0.7812 0.0679
23 S 0.9105 0.1293 0.0679
24 S 0.9095 0.4812 0.7749

***

Number 4 is which compound?
Na5Y4Si4O16F